No. 1
# CeSi2Tc2Ru
Simulated powder X-ray diffraction pattern, copper Kα. Input: a structure optimized by DFT (PBE).
No peak broadening, texture or thermal motion is included.

Top 10 peaks for 15 to 90 degrees two-theta, in order of rising 2θ:
- 27.47°, rel. 100, (1 1 0)
- 32.55°, rel. 12, (1 1 1)
- 39.24°, rel. 64, (2 0 0)
- 39.96°, rel. 93, (1 0 2)
- 56.70°, rel. 22, (2 2 0)
- 57.25°, rel. 64, (2 1 2)
- 64.13°, rel. 18, (3 1 0)
- 71.61°, rel. 16, (3 0 2)
- 84.84°, rel. 21, (3 2 2)
- 86.22°, rel. 12, (2 0 4)

Structure:
Unit cell a=4.5919 b=4.5919 c=5.1806 alpha=90.00 beta=90.00 gamma=90.00
Space group P4/mmm (No. 123)
Symmetry-distinct sites (fractional):
Ce 0.0000 0.0000 0.0000 x1
Si 0.0000 0.5000 0.5000 x2
Tc 0.5000 0.5000 0.2299 x2
Ru 0.0000 0.0000 0.5000 x1

No. 2
# CeTiSi2Ru
Simulated powder X-ray diffraction pattern, copper Kα. Input: a structure optimized by DFT (PBE).
No peak broadening, texture or thermal motion is included.

Top 10 peaks for 15 to 90 degrees two-theta, in order of rising 2θ:
- 23.50°, rel. 38, (1 0 1)
- 32.97°, rel. 19, (0 0 4)
- 33.22°, rel. 42, (1 0 3)
- 35.51°, rel. 100, (1 1 2)
- 44.89°, rel. 34, (2 0 0)
- 47.50°, rel. 20, (1 0 5)
- 56.81°, rel. 16, (2 0 4)
- 56.97°, rel. 18, (2 1 3)
- 60.53°, rel. 16, (1 1 6)
- 76.65°, rel. 20, (3 1 2)

Structure:
Unit cell a=4.0385 b=4.0385 c=10.8681 alpha=90.00 beta=90.00 gamma=90.00
Space group I-4m2 (No. 119)
Symmetry-distinct sites (fractional):
Ce 0.0000 0.0000 0.0000 x2
Ti 0.0000 0.5000 0.7500 x2
Si 0.0000 0.0000 0.3883 x4
Ru 0.0000 0.5000 0.2500 x2

No. 3
# CeSm5Ru3
Simulated powder X-ray diffraction pattern, copper Kα. Input: a structure optimized by DFT (PBE).
No peak broadening, texture or thermal motion is included.

Top 10 peaks for 15 to 90 degrees two-theta, in order of rising 2θ:
- 19.27°, rel. 37, (0 2 0)
- 28.01°, rel. 31, (2 2 -2)
- 28.19°, rel. 100, (2 2 1)
- 28.78°, rel. 74, (0 0 3)
- 30.83°, rel. 36, (1 3 -1)
- 31.94°, rel. 49, (3 1 -3)
- 37.24°, rel. 46, (1 3 2)
- 39.12°, rel. 25, (0 4 0)
- 41.43°, rel. 35, (4 0 2)
- 47.62°, rel. 62, (1 3 -4)

Structure:
Unit cell a=12.3850 b=9.2115 c=9.8554 alpha=90.00 beta=109.01 gamma=90.00
Space group C2/m (No. 12)
Symmetry-distinct sites (fractional):
Ce 0.0813 0.0000 0.2882 x4
Sm 0.0000 0.3034 0.0000 x4
Sm 0.0351 0.5000 0.3489 x4
Sm 0.1862 0.1937 0.6507 x8
Sm 0.2348 0.0000 0.0434 x4
Ru 0.0000 0.0000 0.0000 x2
Ru 0.0000 0.0000 0.5000 x2
Ru 0.1597 0.5000 0.1664 x4
Ru 0.2153 0.5000 0.6230 x4